No. 1
Calculated XRD peak list of Fe2PBr for λ = 1.5418 Å (Cu Kα), from a crystal structure in Alexandria, relaxed with GGA-PBE.
Neutral-atom scattering factors, no anomalous dispersion.

Principal peaks in the range 2θ from 10° to 90°, by angle:
2θ/deg	intensity
28.7	97
30.1	26
32.3	59
32.6	84
41.8	25
41.9	46
42.2	52
42.3	22
50.8	100
55.1	21

Crystal structure
```
Fe2PBr
1.0
3.1157 -1.7974 0.0000
3.1157 1.7974 0.0000
-0.0718 0.0000 5.9412
Fe P Br
2 1 1
direct
0.0000 0.0000 0.0000
0.6634 0.6634 0.7210
0.3312 0.3312 0.8303
0.6611 0.6611 0.3246
```


No. 2
Calculated XRD peak list of Fe3PbBr12 for λ = 1.5418 Å (Cu Kα), from a crystal structure in Alexandria, relaxed with GGA-PBE.
Neutral-atom scattering factors, no anomalous dispersion.

Principal peaks in the range 2θ from 10° to 90°, by angle:
2θ/deg	intensity
14.1	86
16.3	100
24.5	50
25.5	49
25.6	21
28.1	24
29.4	55
31.3	26
32.9	37
38.6	29

Crystal structure
```
Fe3PbBr12
1.0
6.0213 3.4764 12.5645
-6.0213 3.4764 12.5645
0.0000 -6.9528 12.5645
Fe Pb Br
6 2 24
direct
0.0079 0.3119 0.6803
0.1803 0.8119 0.5079
0.3119 0.6803 0.0079
0.5079 0.1803 0.8119
0.6803 0.0079 0.3119
0.8119 0.5079 0.1803
0.0109 0.0109 0.0109
0.5109 0.5109 0.5109
0.0017 0.2924 0.8625
0.0776 0.0877 0.7261
0.0877 0.7261 0.0776
0.1492 0.4109 0.4815
0.1759 0.9384 0.3006
0.2261 0.5877 0.5776
0.2924 0.8625 0.0017
0.3006 0.1759 0.9384
0.3625 0.7924 0.5017
0.4109 0.4815 0.1492
0.4384 0.6759 0.8006
0.4815 0.1492 0.4109
0.5017 0.3625 0.7924
0.5776 0.2261 0.5877
0.5877 0.5776 0.2261
0.6492 0.9815 0.9109
0.6759 0.8006 0.4384
0.7261 0.0776 0.0877
0.7924 0.5017 0.3625
0.8006 0.4384 0.6759
0.8625 0.0017 0.2924
0.9109 0.6492 0.9815
0.9384 0.3006 0.1759
0.9815 0.9109 0.6492
```


No. 3
Calculated XRD peak list of FePbBr2 for λ = 1.5418 Å (Cu Kα), from a crystal structure in Alexandria, relaxed with GGA-PBE.
Neutral-atom scattering factors, no anomalous dispersion.

Principal peaks in the range 2θ from 10° to 90°, by angle:
2θ/deg	intensity
13.7	38
18.9	54
26.7	51
27.2	100
33.2	52
34.3	92
35.6	48
39.1	27
42.2	57
49.5	34

Crystal structure
```
FePbBr2
1.0
-1.7297 2.5198 6.4853
1.7297 -2.5198 6.4853
1.7297 2.5198 -6.4853
Fe Pb Br
1 1 2
direct
0.0000 0.0000 0.0000
0.1872 0.6872 0.5000
0.5574 0.5574 0.0000
0.8593 0.3593 0.5000
```


No. 4
Calculated XRD peak list of Fe3PdBr12 for λ = 1.5418 Å (Cu Kα), from a crystal structure in Alexandria, relaxed with GGA-PBE.
Neutral-atom scattering factors, no anomalous dispersion.

Principal peaks in the range 2θ from 10° to 90°, by angle:
2θ/deg	intensity
17.3	49
18.7	97
25.6	42
28.5	100
31.1	68
35.1	55
40.1	30
45.8	61
50.5	49
59.0	38

Crystal structure
```
Fe3PdBr12
1.0
14.4643 0.0000 0.0000
-7.2322 12.5265 0.0000
0.0000 0.0000 7.2249
Fe Pd Br
6 2 24
direct
0.1414 0.4381 0.2500
0.2967 0.8586 0.2500
0.4381 0.2967 0.7500
0.5619 0.7033 0.2500
0.7033 0.1414 0.7500
0.8586 0.5619 0.7500
0.3333 0.6667 0.7500
0.6667 0.3333 0.2500
0.0183 0.4940 0.2500
0.0707 0.2575 0.2500
0.1869 0.9293 0.2500
0.2470 0.7492 0.5161
0.2470 0.7492 0.9839
0.2507 0.4978 0.5161
0.2507 0.4978 0.9839
0.2575 0.1869 0.7500
0.4757 0.9817 0.2500
0.4940 0.4757 0.7500
0.4978 0.2470 0.0161
0.4978 0.2470 0.4839
0.5022 0.7530 0.5161
0.5022 0.7530 0.9839
0.5060 0.5243 0.2500
0.5243 0.0183 0.7500
0.7425 0.8131 0.2500
0.7492 0.5022 0.0161
0.7492 0.5022 0.4839
0.7530 0.2507 0.0161
0.7530 0.2507 0.4839
0.8131 0.0707 0.7500
0.9293 0.7425 0.7500
0.9817 0.5060 0.7500
```


No. 5
Calculated XRD peak list of FePdBr4 for λ = 1.5418 Å (Cu Kα), from a crystal structure in Alexandria, relaxed with GGA-PBE.
Neutral-atom scattering factors, no anomalous dispersion.

Principal peaks in the range 2θ from 10° to 90°, by angle:
2θ/deg	intensity
17.3	100
25.3	34
29.6	83
30.5	24
33.9	19
38.1	18
45.6	26
46.3	40
47.3	20
52.1	27

Crystal structure
```
FePdBr4
1.0
-3.7358 3.7358 3.5230
3.7358 -3.7358 3.5230
3.7358 3.7358 -3.5230
Fe Pd Br
1 1 4
direct
0.0000 0.0000 0.0000
0.7500 0.2500 0.5000
0.0058 0.3606 0.9514
0.4092 0.0544 0.0486
0.6394 0.5908 0.6452
0.9456 0.9942 0.3548
```


No. 6
Calculated XRD peak list of PmFe3Br12 for λ = 1.5418 Å (Cu Kα), from a crystal structure in Alexandria, relaxed with GGA-PBE.
Neutral-atom scattering factors, no anomalous dispersion.

Principal peaks in the range 2θ from 10° to 90°, by angle:
2θ/deg	intensity
17.5	52
19.1	45
23.2	30
27.4	43
30.5	58
30.9	100
35.4	39
42.5	23
52.6	26
56.9	27

Crystal structure
```
PmFe3Br12
1.0
13.5400 0.0000 0.0000
-6.7700 11.7260 0.0000
0.0000 0.0000 7.6328
Pm Fe Br
2 6 24
direct
0.3333 0.6667 0.2500
0.6667 0.3333 0.7500
0.1123 0.4138 0.7500
0.3015 0.8877 0.7500
0.4138 0.3015 0.2500
0.5862 0.6985 0.7500
0.6985 0.1123 0.2500
0.8877 0.5862 0.2500
0.0066 0.5088 0.2500
0.0203 0.2186 0.7500
0.1983 0.9797 0.7500
0.2186 0.1983 0.2500
0.2362 0.4727 0.0057
0.2362 0.4727 0.4943
0.2365 0.7638 0.0057
0.2365 0.7638 0.4943
0.4727 0.2365 0.5057
0.4727 0.2365 0.9943
0.4912 0.4978 0.2500
0.4978 0.0066 0.7500
0.5022 0.9934 0.2500
0.5088 0.5022 0.7500
0.5273 0.7635 0.0057
0.5273 0.7635 0.4943
0.7635 0.2362 0.5057
0.7635 0.2362 0.9943
0.7638 0.5273 0.5057
0.7638 0.5273 0.9943
0.7814 0.8017 0.7500
0.8017 0.0203 0.2500
0.9797 0.7814 0.2500
0.9934 0.4912 0.7500
```


Please write out number 2 again, unchanged.
Calculated XRD peak list of Fe3PbBr12 for λ = 1.5418 Å (Cu Kα), from a crystal structure in Alexandria, relaxed with GGA-PBE.
Neutral-atom scattering factors, no anomalous dispersion.

Principal peaks in the range 2θ from 10° to 90°, by angle:
2θ/deg	intensity
14.1	86
16.3	100
24.5	50
25.5	49
25.6	21
28.1	24
29.4	55
31.3	26
32.9	37
38.6	29

Crystal structure
```
Fe3PbBr12
1.0
6.0213 3.4764 12.5645
-6.0213 3.4764 12.5645
0.0000 -6.9528 12.5645
Fe Pb Br
6 2 24
direct
0.0079 0.3119 0.6803
0.1803 0.8119 0.5079
0.3119 0.6803 0.0079
0.5079 0.1803 0.8119
0.6803 0.0079 0.3119
0.8119 0.5079 0.1803
0.0109 0.0109 0.0109
0.5109 0.5109 0.5109
0.0017 0.2924 0.8625
0.0776 0.0877 0.7261
0.0877 0.7261 0.0776
0.1492 0.4109 0.4815
0.1759 0.9384 0.3006
0.2261 0.5877 0.5776
0.2924 0.8625 0.0017
0.3006 0.1759 0.9384
0.3625 0.7924 0.5017
0.4109 0.4815 0.1492
0.4384 0.6759 0.8006
0.4815 0.1492 0.4109
0.5017 0.3625 0.7924
0.5776 0.2261 0.5877
0.5877 0.5776 0.2261
0.6492 0.9815 0.9109
0.6759 0.8006 0.4384
0.7261 0.0776 0.0877
0.7924 0.5017 0.3625
0.8006 0.4384 0.6759
0.8625 0.0017 0.2924
0.9109 0.6492 0.9815
0.9384 0.3006 0.1759
0.9815 0.9109 0.6492
```


Copy entry 4 word for word.
Calculated XRD peak list of Fe3PdBr12 for λ = 1.5418 Å (Cu Kα), from a crystal structure in Alexandria, relaxed with GGA-PBE.
Neutral-atom scattering factors, no anomalous dispersion.

Principal peaks in the range 2θ from 10° to 90°, by angle:
2θ/deg	intensity
17.3	49
18.7	97
25.6	42
28.5	100
31.1	68
35.1	55
40.1	30
45.8	61
50.5	49
59.0	38

Crystal structure
```
Fe3PdBr12
1.0
14.4643 0.0000 0.0000
-7.2322 12.5265 0.0000
0.0000 0.0000 7.2249
Fe Pd Br
6 2 24
direct
0.1414 0.4381 0.2500
0.2967 0.8586 0.2500
0.4381 0.2967 0.7500
0.5619 0.7033 0.2500
0.7033 0.1414 0.7500
0.8586 0.5619 0.7500
0.3333 0.6667 0.7500
0.6667 0.3333 0.2500
0.0183 0.4940 0.2500
0.0707 0.2575 0.2500
0.1869 0.9293 0.2500
0.2470 0.7492 0.5161
0.2470 0.7492 0.9839
0.2507 0.4978 0.5161
0.2507 0.4978 0.9839
0.2575 0.1869 0.7500
0.4757 0.9817 0.2500
0.4940 0.4757 0.7500
0.4978 0.2470 0.0161
0.4978 0.2470 0.4839
0.5022 0.7530 0.5161
0.5022 0.7530 0.9839
0.5060 0.5243 0.2500
0.5243 0.0183 0.7500
0.7425 0.8131 0.2500
0.7492 0.5022 0.0161
0.7492 0.5022 0.4839
0.7530 0.2507 0.0161
0.7530 0.2507 0.4839
0.8131 0.0707 0.7500
0.9293 0.7425 0.7500
0.9817 0.5060 0.7500
```